This entry pairs a crystal structure of Bi3P2O10 with its calculated XRD peak list. Radiation: Cu Kα. Structure: a crystal structure in the Materials Project, relaxed with GGA-PBE.
Kinematic intensities with the Lorentz-polarization factor, no thermal factor.

Main lines, in order of rising 2θ (10 to 90 degrees two-theta):
- 14.0 deg, I = 45, hkl 1 0 0
- 14.7 deg, I = 46, hkl 1 -1 0
- 26.7 deg, I = 56, hkl 1 0 2
- 27.3 deg, I = 67, hkl 1 -2 2
- 27.5 deg, I = 100, hkl -2 1 1
- 27.6 deg, I = 64, hkl 0 1 2
- 32.4 deg, I = 39, hkl 1 1 -3
- 33.0 deg, I = 45, hkl 1 2 -1

Crystal structure
```
data_Bi3P2O10
_chemical_formula_sum 'Bi6 P4 O20'
_cell_length_a 6.9405
_cell_length_b 7.7730
_cell_length_c 9.3251
_cell_angle_alpha 106.73
_cell_angle_beta 92.47
_cell_angle_gamma 112.69
_symmetry_space_group_name_H-M 'P -1'
_symmetry_Int_Tables_number 2
_symmetry_space_group_name_Hall '-P 1'
loop_
_atom_site_label
_atom_site_type_symbol
_atom_site_fract_x
_atom_site_fract_y
_atom_site_fract_z
Bi1 Bi 0.0601 0.2030 0.4175
Bi2 Bi 0.1626 0.8672 0.9902
Bi3 Bi 0.3165 0.3020 0.8213
P1 P 0.1537 0.6088 0.2475
P2 P 0.4554 0.7342 0.7395
O1 O 0.0193 0.3747 0.8544
O2 O 0.0623 0.0323 0.8679
O3 O 0.1284 0.3890 0.1934
O4 O 0.1360 0.6696 0.4166
O5 O 0.1594 0.1020 0.6032
O6 O 0.2774 0.8097 0.7378
O7 O 0.3608 0.5040 0.6710
O8 O 0.3706 0.7409 0.2176
O9 O 0.3732 0.1714 0.3482
O10 O 0.4514 0.2006 0.0871
```


This entry pairs a crystal structure of BiP2O7 with its calculated XRD peak list. Radiation: Cu Kα. Structure: a crystal structure in the Materials Project, relaxed with GGA-PBE.
Kinematic intensities with the Lorentz-polarization factor, no thermal factor.

Main lines, in order of rising 2θ (10 to 90 degrees two-theta):
- 14.0 deg, I = 64, hkl 0 0 2
- 19.4 deg, I = 19, hkl 1 1 0
- 21.0 deg, I = 100, hkl 1 1 -2
- 21.3 deg, I = 56, hkl 2 0 0
- 26.7 deg, I = 24, hkl 1 1 2
- 30.1 deg, I = 28, hkl 1 1 -4
- 32.8 deg, I = 16, hkl 0 2 0
- 33.1 deg, I = 23, hkl 3 1 -2

Crystal structure
```
data_BiP2O7
_chemical_formula_sum 'Bi4 P8 O28'
_cell_length_a 9.3332
_cell_length_b 5.4676
_cell_length_c 14.1635
_cell_angle_alpha 90.00
_cell_angle_beta 116.45
_cell_angle_gamma 90.00
_symmetry_space_group_name_H-M 'P 1 21/c 1'
_symmetry_Int_Tables_number 14
_symmetry_space_group_name_Hall '-P 2ybc'
loop_
_atom_site_label
_atom_site_type_symbol
_atom_site_fract_x
_atom_site_fract_y
_atom_site_fract_z
Bi1 Bi 0.2362 0.2360 0.4727
P1 P 0.1877 0.7252 0.6174
P2 P 0.3191 0.7488 0.3499
O1 O 0.0315 0.6744 0.1124
O2 O 0.1817 0.0506 0.0954
O3 O 0.2125 0.5406 0.3560
O4 O 0.2438 0.0023 0.3444
O5 O 0.2503 0.6389 0.0486
O6 O 0.3232 0.7253 0.2369
O7 O 0.4910 0.7245 0.4338
```


This entry pairs a crystal structure of Bi2P3Pb3O12 with its calculated XRD peak list. Radiation: Cu Kα. Structure: a crystal structure in the Materials Project, relaxed with GGA-PBE.
Kinematic intensities with the Lorentz-polarization factor, no thermal factor.

Main lines, in order of rising 2θ (10 to 90 degrees two-theta):
- 21.0 deg, I = 31, hkl 2 0 0
- 25.9 deg, I = 54, hkl 1 0 2
- 27.8 deg, I = 54, hkl 1 2 0
- 30.0 deg, I = 64, hkl 1 1 2
- 30.3 deg, I = 100, hkl 1 2 1
- 44.2 deg, I = 37, hkl 2 2 2
- 46.0 deg, I = 35, hkl 1 2 3
- 49.3 deg, I = 31, hkl 4 1 0

Crystal structure
```
data_Bi2P3Pb3O12
_chemical_formula_sum 'Bi4 P6 Pb6 O24'
_cell_length_a 9.7870
_cell_length_b 9.7870
_cell_length_c 7.5110
_cell_angle_alpha 90.00
_cell_angle_beta 90.00
_cell_angle_gamma 120.00
_symmetry_space_group_name_H-M 'P 63/m'
_symmetry_Int_Tables_number 176
_symmetry_space_group_name_Hall '-P 6c'
loop_
_atom_site_label
_atom_site_type_symbol
_atom_site_fract_x
_atom_site_fract_y
_atom_site_fract_z
Bi1 Bi 0.3333 0.6667 0.0013
P1 P 0.0318 0.6279 0.2500
Pb1 Pb 0.0044 0.7790 0.7500
O1 O 0.0790 0.7346 0.0817
O2 O 0.1367 0.5459 0.2500
O3 O 0.1471 0.4994 0.7500
```


This entry pairs a crystal structure of Bi6P4PbO20 with its calculated XRD peak list. Radiation: Cu Kα. Structure: a crystal structure in the Materials Project, relaxed with GGA-PBE.
Kinematic intensities with the Lorentz-polarization factor, no thermal factor.

Main lines, in order of rising 2θ (10 to 90 degrees two-theta):
- 13.1 deg, I = 33, hkl 0 1 0
- 21.8 deg, I = 35, hkl 1 1 -1
- 27.1 deg, I = 100, hkl -2 1 1
- 27.3 deg, I = 71, hkl 1 -2 2
- 27.9 deg, I = 67, hkl 0 1 2
- 31.4 deg, I = 46, hkl 2 0 1
- 32.1 deg, I = 43, hkl 1 1 -3
- 32.7 deg, I = 49, hkl 1 2 -1

Crystal structure
```
data_Bi6P4PbO20
_chemical_formula_sum 'Bi6 P4 Pb1 O20'
_cell_length_a 7.0532
_cell_length_b 7.7398
_cell_length_c 9.2984
_cell_angle_alpha 107.12
_cell_angle_beta 93.19
_cell_angle_gamma 111.96
_symmetry_space_group_name_H-M 'P -1'
_symmetry_Int_Tables_number 2
_symmetry_space_group_name_Hall '-P 1'
loop_
_atom_site_label
_atom_site_type_symbol
_atom_site_fract_x
_atom_site_fract_y
_atom_site_fract_z
Bi1 Bi 0.0610 0.2073 0.4118
Bi2 Bi 0.1685 0.8739 0.9902
Bi3 Bi 0.3064 0.3043 0.8254
P1 P 0.1504 0.5992 0.2415
P2 P 0.4531 0.7301 0.7440
Pb1 Pb 0.5000 0.0000 0.5000
O1 O 0.0220 0.3801 0.8559
O2 O 0.0542 0.0279 0.8629
O3 O 0.1221 0.3790 0.1871
O4 O 0.1434 0.6705 0.4146
O5 O 0.1764 0.0939 0.5974
O6 O 0.2860 0.8175 0.7413
O7 O 0.3556 0.5004 0.6689
O8 O 0.3655 0.7324 0.2168
O9 O 0.3766 0.1742 0.3423
O10 O 0.4517 0.2098 0.0835
```


This entry pairs a crystal structure of SrBi6P4O20 with its calculated XRD peak list. Radiation: Cu Kα. Structure: a crystal structure in the Materials Project, relaxed with GGA-PBE.
Kinematic intensities with the Lorentz-polarization factor, no thermal factor.

Main lines, in order of rising 2θ (10 to 90 degrees two-theta):
- 21.8 deg, I = 29, hkl 1 1 -1
- 26.8 deg, I = 37, hkl 1 0 2
- 27.1 deg, I = 100, hkl -2 1 1
- 27.3 deg, I = 67, hkl 1 -2 2
- 27.9 deg, I = 64, hkl 0 1 2
- 31.5 deg, I = 40, hkl 2 0 1
- 32.2 deg, I = 41, hkl 1 1 -3
- 32.8 deg, I = 47, hkl 1 2 -1

Crystal structure
```
data_SrBi6P4O20
_chemical_formula_sum 'Sr1 Bi6 P4 O20'
_cell_length_a 7.0509
_cell_length_b 7.7431
_cell_length_c 9.2833
_cell_angle_alpha 107.14
_cell_angle_beta 93.08
_cell_angle_gamma 112.22
_symmetry_space_group_name_H-M 'P -1'
_symmetry_Int_Tables_number 2
_symmetry_space_group_name_Hall '-P 1'
loop_
_atom_site_label
_atom_site_type_symbol
_atom_site_fract_x
_atom_site_fract_y
_atom_site_fract_z
Sr1 Sr 0.0000 0.0000 0.0000
Bi1 Bi 0.1943 0.6958 0.6750
Bi2 Bi 0.3316 0.1266 0.5109
Bi3 Bi 0.4366 0.7927 0.0872
P1 P 0.0475 0.2688 0.7567
P2 P 0.3463 0.3968 0.2570
O1 O 0.0474 0.7906 0.4162
O2 O 0.1213 0.8261 0.1559
O3 O 0.1286 0.2632 0.2790
O4 O 0.1474 0.4992 0.8311
O5 O 0.2134 0.1804 0.7590
O6 O 0.3202 0.9069 0.9037
O7 O 0.3534 0.3231 0.0840
O8 O 0.3768 0.6176 0.3116
O9 O 0.4469 0.9729 0.6376
O10 O 0.4834 0.6253 0.6447
```